(1)
Starting from DFT lattice parameters and positions (PBE+U), the X-ray powder pattern of K2NaVF6 was calculated for Cu Kα X-rays.

Most intense lines, 2θ = 10–90°, in order of falling intensity:
| 2θ/deg | I/Imax |
| --- | --- |
| 29.81 | 1000 |
| 42.67 | 897 |
| 61.93 | 473 |
| 36.73 | 391 |
| 52.92 | 338 |
| 18.13 | 266 |
| 85.79 | 173 |
| 70.23 | 159 |
| 78.12 | 137 |
| 20.96 | 103 |

Atomic structure:
```
K2NaVF6
1.0
0.0000 4.2380 4.2380
4.2380 0.0000 4.2380
4.2380 4.2380 0.0000
K Na V F
2 1 1 6
Cartesian
2.1190 2.1190 2.1190 K
6.3570 6.3570 6.3570 K
0.0000 0.0000 0.0000 Na
4.2380 4.2380 4.2380 V
4.2380 4.2380 2.2626 F
4.2380 2.2626 4.2380 F
6.2133 4.2380 4.2380 F
2.2626 4.2380 4.2380 F
4.2380 6.2133 4.2380 F
4.2380 4.2380 6.2133 F
```


(2)
Starting from DFT lattice parameters and positions (PBE+U), the X-ray powder pattern of K3Ni2F7 was calculated for Cu Kα X-rays.

Most intense lines, 2θ = 10–90°, in order of falling intensity:
| 2θ/deg | I/Imax |
| --- | --- |
| 30.36 | 1000 |
| 31.04 | 756 |
| 44.47 | 717 |
| 54.79 | 350 |
| 63.15 | 325 |
| 42.44 | 320 |
| 16.65 | 315 |
| 22.21 | 300 |
| 53.50 | 198 |
| 64.70 | 195 |

Atomic structure:
```
K3Ni2F7
1.0
-2.0375 2.0375 10.6484
2.0375 -2.0375 10.6484
2.0375 2.0375 -10.6484
K Ni F
3 2 7
Cartesian
0.0000 0.0000 0.0000 K
0.0000 0.0000 3.9298 K
0.0000 0.0000 17.3670 K
0.0000 0.0000 8.5971 Ni
0.0000 0.0000 12.6997 Ni
2.0375 0.0000 2.0268 F
0.0000 0.0000 6.5811 F
2.0375 0.0000 8.6216 F
0.0000 0.0000 10.6484 F
0.0000 2.0375 2.0268 F
0.0000 0.0000 14.7158 F
0.0000 2.0375 8.6216 F
```